(1)
Structure and computed powder diffractogram of Cu5W (a structure optimized by DFT (GGA-PBE); λ = 1.5418 Å (Cu Kα)).

abc: 2.6025 2.6025 11.2346
angles: 90.00 90.00 90.00
Sites, in units of the cell vectors:
Cu1 0.0000 0.0000 0.0000
Cu2 0.0000 0.0000 0.3185
Cu3 0.0000 0.0000 0.6815
Cu4 0.5000 0.5000 0.1583
Cu5 0.5000 0.5000 0.8417
W1 0.5000 0.5000 0.5000

Peak list (8 most intense, 2θ from 5° to 70°, by angle)
d (Å)	I/Imax
11.235	41
5.617	11
3.745	5
2.535	8
2.361	11
2.137	100
1.872	15
1.840	32

***

(2)
Structure and computed powder diffractogram of ZnCuW (a structure optimized by DFT (GGA-PBE); λ = 1.5418 Å (Cu Kα)).

abc: 6.2125 6.2125 6.2125
angles: 155.20 155.20 35.36
Sites, in units of the cell vectors:
Zn1 0.0000 0.0000 0.0000
Cu1 0.6557 0.6557 0.0000
W1 0.3226 0.3226 0.0000

Peak list (8 most intense, 2θ from 5° to 70°, by angle)
d (Å)	I/Imax
5.919	30
2.960	9
2.603	20
2.210	100
1.973	17
1.887	31
1.591	6
1.364	20

***

(3)
Structure and computed powder diffractogram of YCu13 (a structure optimized by DFT (GGA-PBE); λ = 1.5418 Å (Cu Kα)).

abc: 8.1466 8.1466 8.1466
angles: 60.00 60.00 60.00
Sites, in units of the cell vectors:
Y1 0.2500 0.2500 0.2500
Y2 0.7500 0.7500 0.7500
Cu1 0.0000 0.0000 0.0000
Cu2 0.0624 0.2982 0.7018
Cu3 0.0624 0.7018 0.9376
Cu4 0.0624 0.9376 0.2982
Cu5 0.2018 0.4376 0.7982
Cu6 0.2018 0.5624 0.4376
Cu7 0.2018 0.7982 0.5624
Cu8 0.2982 0.0624 0.9376
Cu9 0.2982 0.7018 0.0624
Cu10 0.2982 0.9376 0.7018
Cu11 0.4376 0.2018 0.5624
Cu12 0.4376 0.5624 0.7982
Cu13 0.4376 0.7982 0.2018
Cu14 0.5000 0.5000 0.5000
Cu15 0.5624 0.2018 0.7982
Cu16 0.5624 0.4376 0.2018
Cu17 0.5624 0.7982 0.4376
Cu18 0.7018 0.0624 0.2982
Cu19 0.7018 0.2982 0.9376
Cu20 0.7018 0.9376 0.0624
Cu21 0.7982 0.2018 0.4376
Cu22 0.7982 0.4376 0.5624
Cu23 0.7982 0.5624 0.2018
Cu24 0.9376 0.0624 0.7018
Cu25 0.9376 0.2982 0.0624
Cu26 0.9376 0.7018 0.2982

Peak list (8 most intense, 2θ from 5° to 70°, by angle)
d (Å)	I/Imax
5.761	16
2.576	25
2.352	62
1.947	100
1.920	28
1.822	11
1.540	9
1.397	8

***

(4)
Structure and computed powder diffractogram of YCu11 (a structure optimized by DFT (GGA-PBE); λ = 1.5418 Å (Cu Kα)).

abc: 7.7893 7.7893 7.7893
angles: 100.17 100.17 130.30
Sites, in units of the cell vectors:
Y1 0.3750 0.6250 0.7500
Y2 0.6250 0.3750 0.2500
Cu1 0.0000 0.0000 0.0000
Cu2 0.0000 0.0000 0.5000
Cu3 0.0000 0.5000 0.0000
Cu4 0.1250 0.8750 0.2500
Cu5 0.1370 0.5583 0.3337
Cu6 0.1370 0.8034 0.5787
Cu7 0.1966 0.2754 0.3337
Cu8 0.1966 0.8630 0.9213
Cu9 0.2754 0.1966 0.8337
Cu10 0.2754 0.4417 0.0787
Cu11 0.4417 0.2754 0.5787
Cu12 0.4417 0.8630 0.1663
Cu13 0.5000 0.0000 0.5000
Cu14 0.5583 0.1370 0.8337
Cu15 0.5583 0.7246 0.4213
Cu16 0.7246 0.5583 0.9213
Cu17 0.7246 0.8034 0.1663
Cu18 0.8034 0.1370 0.0787
Cu19 0.8034 0.7246 0.6663
Cu20 0.8630 0.1966 0.4213
Cu21 0.8630 0.4417 0.6663
Cu22 0.8750 0.1250 0.7500

Peak list (8 most intense, 2θ from 5° to 70°, by angle)
d (Å)	I/Imax
2.553	35
2.274	100
2.235	77
2.132	36
1.986	22
1.961	30
1.912	89
1.846	43

***

(5)
Structure and computed powder diffractogram of YZn2Cu9 (a structure optimized by DFT (GGA-PBE); λ = 1.5418 Å (Cu Kα)).

abc: 7.8627 7.8627 7.8627
angles: 100.10 100.10 130.48
Sites, in units of the cell vectors:
Y1 0.3750 0.6250 0.7500
Y2 0.6250 0.3750 0.2500
Zn1 0.0000 0.0000 0.0000
Zn2 0.0000 0.0000 0.5000
Zn3 0.0000 0.5000 0.0000
Zn4 0.5000 0.0000 0.5000
Cu1 0.1250 0.8750 0.2500
Cu2 0.1365 0.5566 0.3352
Cu3 0.1365 0.8013 0.5798
Cu4 0.1987 0.2786 0.3352
Cu5 0.1987 0.8635 0.9202
Cu6 0.2786 0.1987 0.8352
Cu7 0.2786 0.4434 0.0798
Cu8 0.4434 0.2786 0.5798
Cu9 0.4434 0.8635 0.1648
Cu10 0.5566 0.1365 0.8352
Cu11 0.5566 0.7214 0.4202
Cu12 0.7214 0.5566 0.9202
Cu13 0.7214 0.8013 0.1648
Cu14 0.8013 0.1365 0.0798
Cu15 0.8013 0.7214 0.6648
Cu16 0.8635 0.1987 0.4202
Cu17 0.8635 0.4434 0.6648
Cu18 0.8750 0.1250 0.7500

Peak list (8 most intense, 2θ from 5° to 70°, by angle)
d (Å)	I/Imax
2.577	37
2.292	100
2.258	79
2.145	37
2.003	22
1.974	32
1.931	90
1.862	44

***

(6)
Structure and computed powder diffractogram of Y2Zn6Cu9 (a structure optimized by DFT (GGA-PBE); λ = 1.5418 Å (Cu Kα)).

abc: 5.1291 5.1291 12.3530
angles: 90.00 90.00 120.00
Sites, in units of the cell vectors:
Y1 0.0000 0.0000 0.1670
Y2 0.0000 0.0000 0.8330
Zn1 0.3333 0.6667 0.1656
Zn2 0.3333 0.6667 0.5000
Zn3 0.3333 0.6667 0.8344
Zn4 0.6667 0.3333 0.1656
Zn5 0.6667 0.3333 0.5000
Zn6 0.6667 0.3333 0.8344
Cu1 0.0000 0.5000 0.0000
Cu2 0.0000 0.5000 0.3326
Cu3 0.0000 0.5000 0.6674
Cu4 0.5000 0.0000 0.0000
Cu5 0.5000 0.0000 0.3326
Cu6 0.5000 0.0000 0.6674
Cu7 0.5000 0.5000 0.0000
Cu8 0.5000 0.5000 0.3326
Cu9 0.5000 0.5000 0.6674

Peak list (8 most intense, 2θ from 5° to 70°, by angle)
d (Å)	I/Imax
4.442	29
2.565	20
2.221	28
2.177	100
2.059	32
1.955	46
1.510	15
1.393	22

***

(7)
Structure and computed powder diffractogram of Y12ZnCu6 (a structure optimized by DFT (GGA-PBE); λ = 1.5418 Å (Cu Kα)).

abc: 8.5290 8.5290 8.5290
angles: 109.47 109.47 109.47
Sites, in units of the cell vectors:
Y1 0.1063 0.2941 0.8122
Y2 0.1878 0.4819 0.2941
Y3 0.1878 0.8937 0.7059
Y4 0.2941 0.1878 0.4819
Y5 0.2941 0.8122 0.1063
Y6 0.4819 0.2941 0.1878
Y7 0.5181 0.7059 0.8122
Y8 0.7059 0.1878 0.8937
Y9 0.7059 0.8122 0.5181
Y10 0.8122 0.1063 0.2941
Y11 0.8122 0.5181 0.7059
Y12 0.8937 0.7059 0.1878
Zn1 0.0000 0.0000 0.0000
Cu1 0.1244 0.5000 0.6244
Cu2 0.3756 0.8756 0.5000
Cu3 0.5000 0.3756 0.8756
Cu4 0.5000 0.6244 0.1244
Cu5 0.6244 0.1244 0.5000
Cu6 0.8756 0.5000 0.3756

Peak list (8 most intense, 2θ from 5° to 70°, by angle)
d (Å)	I/Imax
2.843	35
2.632	100
2.462	18
2.321	14
1.931	21
1.689	22
1.598	24
1.393	16

***

(8)
Structure and computed powder diffractogram of YZn2Cu10 (a structure optimized by DFT (GGA-PBE); λ = 1.5418 Å (Cu Kα)).

abc: 8.5574 6.5860 6.4627
angles: 81.96 49.65 48.40
Sites, in units of the cell vectors:
Y1 0.0000 0.0000 0.0000
Zn1 0.0000 0.5000 0.0000
Zn2 0.5000 0.0000 0.5000
Cu1 0.0000 0.0000 0.5000
Cu2 0.0052 0.6445 0.3555
Cu3 0.2789 0.5019 0.4981
Cu4 0.3555 0.9948 0.0052
Cu5 0.4981 0.7211 0.2789
Cu6 0.5000 0.5000 0.0000
Cu7 0.5019 0.2789 0.7211
Cu8 0.6445 0.0052 0.9948
Cu9 0.7211 0.4981 0.5019
Cu10 0.9948 0.3555 0.6445

Peak list (8 most intense, 2θ from 5° to 70°, by angle)
d (Å)	I/Imax
2.462	34
2.441	13
2.152	38
2.139	52
2.119	100
1.930	14
1.908	26
1.891	22

***

(9)
Structure and computed powder diffractogram of YZn6Cu2 (a structure optimized by DFT (GGA-PBE); λ = 1.5418 Å (Cu Kα)).

abc: 8.0201 8.0201 8.0201
angles: 60.00 60.00 60.00
Sites, in units of the cell vectors:
Y1 0.1250 0.1250 0.1250
Y2 0.8750 0.8750 0.8750
Zn1 0.1355 0.1355 0.6145
Zn2 0.1355 0.6145 0.1355
Zn3 0.1355 0.6145 0.6145
Zn4 0.3855 0.3855 0.8645
Zn5 0.3855 0.8645 0.3855
Zn6 0.3855 0.8645 0.8645
Zn7 0.6145 0.1355 0.1355
Zn8 0.6145 0.1355 0.6145
Zn9 0.6145 0.6145 0.1355
Zn10 0.8645 0.3855 0.3855
Zn11 0.8645 0.3855 0.8645
Zn12 0.8645 0.8645 0.3855
Cu1 0.0000 0.5000 0.5000
Cu2 0.5000 0.0000 0.5000
Cu3 0.5000 0.5000 0.0000
Cu4 0.5000 0.5000 0.5000

Peak list (8 most intense, 2θ from 5° to 70°, by angle)
d (Å)	I/Imax
3.420	43
3.274	12
2.836	47
2.183	12
2.005	100
1.637	11
1.477	14
1.418	15

***

(10)
Structure and computed powder diffractogram of YZn2Cu6 (a structure optimized by DFT (GGA-PBE); λ = 1.5418 Å (Cu Kα)).

abc: 7.7210 7.7210 7.7210
angles: 60.00 60.00 60.00
Sites, in units of the cell vectors:
Y1 0.1250 0.1250 0.1250
Y2 0.8750 0.8750 0.8750
Zn1 0.0000 0.5000 0.5000
Zn2 0.5000 0.0000 0.5000
Zn3 0.5000 0.5000 0.0000
Zn4 0.5000 0.5000 0.5000
Cu1 0.1248 0.1248 0.6252
Cu2 0.1248 0.6252 0.1248
Cu3 0.1248 0.6252 0.6252
Cu4 0.3748 0.3748 0.8752
Cu5 0.3748 0.8752 0.3748
Cu6 0.3748 0.8752 0.8752
Cu7 0.6252 0.1248 0.1248
Cu8 0.6252 0.1248 0.6252
Cu9 0.6252 0.6252 0.1248
Cu10 0.8752 0.3748 0.3748
Cu11 0.8752 0.3748 0.8752
Cu12 0.8752 0.8752 0.3748

Peak list (8 most intense, 2θ from 5° to 70°, by angle)
d (Å)	I/Imax
3.292	41
3.152	14
2.730	45
2.101	15
1.930	100
1.576	10
1.422	9
1.365	15

***

(11)
Structure and computed powder diffractogram of YbCu6 (a structure optimized by DFT (GGA-PBE); λ = 1.5418 Å (Cu Kα)).

abc: 5.5922 5.5922 5.5922
angles: 109.47 109.47 109.47
Sites, in units of the cell vectors:
Yb1 0.0000 0.0000 0.0000
Cu1 0.2500 0.5000 0.7500
Cu2 0.2500 0.7500 0.5000
Cu3 0.5000 0.2500 0.7500
Cu4 0.5000 0.7500 0.2500
Cu5 0.7500 0.2500 0.5000
Cu6 0.7500 0.5000 0.2500

Peak list (8 most intense, 2θ from 5° to 70°, by angle)
d (Å)	I/Imax
4.566	2
3.229	43
2.636	100
1.864	7
1.726	55
1.614	19
1.444	15
1.377	13